Tb3Zn2Si4Au2: computed powder X-ray diffraction pattern (Cu Ka), based on a cell relaxed with GGA-PBE.
Peak positions follow from Bragg's law for the DFT cell and can differ from measured ones.

The 10 most intense peaks (2θ from 10° to 90°), low angle first:
| d_spacing | 2θ (°) | I_rel |
| --- | --- | --- |
| 3.718 | 23.94 | 14 |
| 3.075 | 29.04 | 16 |
| 2.677 | 33.48 | 22 |
| 2.649 | 33.84 | 100 |
| 2.387 | 37.69 | 11 |
| 2.085 | 43.39 | 17 |
| 2.066 | 43.83 | 17 |
| 1.971 | 46.04 | 12 |
| 1.468 | 63.38 | 11 |
| 1.288 | 73.50 | 11 |

Cell and atoms:
```
11
Lattice="-2.066 2.085 12.300 2.066 -2.085 12.300 2.066 2.085 -12.300" Properties=species:S:1:pos:R:3 pbc="T T T"
Tb 0.000 0.000 0.000
Tb 2.066 0.000 8.758
Tb 0.000 2.085 3.542
Zn 2.066 0.000 2.300
Zn 0.000 2.085 10.000
Si 2.066 0.000 4.635
Si 0.000 0.000 11.132
Si 0.000 0.000 13.468
Si 0.000 2.085 7.665
Au 0.000 0.000 6.171
Au 0.000 0.000 18.429
```

---

CdHg2: computed powder X-ray diffraction pattern (Cu Ka), based on a cell relaxed with GGA-PBE.
Peak positions follow from Bragg's law for the DFT cell and can differ from measured ones.

The 10 most intense peaks (2θ from 10° to 90°), low angle first:
| d_spacing | 2θ (°) | I_rel |
| --- | --- | --- |
| 3.695 | 24.09 | 8 |
| 2.871 | 31.15 | 82 |
| 2.396 | 37.53 | 100 |
| 2.030 | 44.63 | 31 |
| 1.549 | 59.69 | 52 |
| 1.436 | 64.95 | 10 |
| 1.318 | 71.57 | 15 |
| 1.284 | 73.79 | 14 |
| 1.232 | 77.51 | 12 |
| 1.198 | 80.10 | 11 |

Cell and atoms:
```
6
Lattice="4.061 0.000 0.000 0.000 4.061 0.000 0.000 0.000 8.904" Properties=species:S:1:pos:R:3 pbc="T T T"
Cd 0.000 0.000 0.000
Cd 2.030 2.030 4.452
Hg 0.000 0.000 2.965
Hg 0.000 0.000 5.939
Hg 2.030 2.030 1.487
Hg 2.030 2.030 7.417
```

---

Ag: computed powder X-ray diffraction pattern (Cu Ka), based on a cell relaxed with GGA-PBE.
Peak positions follow from Bragg's law for the DFT cell and can differ from measured ones.

The 10 most intense peaks (2θ from 10° to 90°), low angle first:
| d_spacing | 2θ (°) | I_rel |
| --- | --- | --- |
| 2.536 | 35.40 | 25 |
| 2.517 | 35.67 | 11 |
| 2.401 | 37.46 | 41 |
| 2.242 | 40.22 | 100 |
| 2.229 | 40.46 | 51 |
| 1.743 | 52.49 | 15 |
| 1.457 | 63.90 | 16 |
| 1.353 | 69.45 | 18 |
| 1.245 | 76.49 | 19 |
| 1.226 | 77.94 | 14 |

Cell and atoms:
```
4
Lattice="2.935 0.000 0.000 0.000 5.034 0.000 0.000 0.000 4.801" Properties=species:S:1:pos:R:3 pbc="T T T"
Ag 0.000 0.831 1.200
Ag 0.000 4.203 3.601
Ag 1.468 1.686 3.601
Ag 1.468 3.348 1.200
```

---

NdF3: computed powder X-ray diffraction pattern (Cu Ka), based on a cell relaxed with GGA-PBE.
Peak positions follow from Bragg's law for the DFT cell and can differ from measured ones.

The 10 most intense peaks (2θ from 10° to 90°), low angle first:
| d_spacing | 2θ (°) | I_rel |
| --- | --- | --- |
| 5.098 | 17.40 | 96 |
| 3.008 | 29.70 | 100 |
| 2.943 | 30.37 | 61 |
| 2.104 | 43.00 | 70 |
| 1.711 | 53.55 | 60 |
| 1.699 | 53.96 | 22 |
| 1.574 | 58.66 | 20 |
| 1.322 | 71.35 | 17 |
| 1.255 | 75.78 | 15 |
| 1.116 | 87.39 | 25 |

Cell and atoms:
```
8
Lattice="5.887 0.000 0.000 -2.943 5.098 0.000 0.000 0.000 3.725" Properties=species:S:1:pos:R:3 pbc="T T T"
Nd 0.000 3.399 0.931
Nd 2.943 1.699 2.794
F -0.633 2.003 2.794
F -0.892 4.644 2.794
F 1.419 1.549 0.931
F 1.525 3.549 2.794
F 3.835 0.454 0.931
F 3.576 3.095 0.931
```

---

HfTlHg: computed powder X-ray diffraction pattern (Cu Ka), based on a cell relaxed with GGA-PBE.
Peak positions follow from Bragg's law for the DFT cell and can differ from measured ones.

The 10 most intense peaks (2θ from 10° to 90°), low angle first:
| d_spacing | 2θ (°) | I_rel |
| --- | --- | --- |
| 3.935 | 22.60 | 22 |
| 3.407 | 26.15 | 19 |
| 2.409 | 37.32 | 100 |
| 2.055 | 44.07 | 12 |
| 1.967 | 46.14 | 6 |
| 1.704 | 53.81 | 18 |
| 1.563 | 59.09 | 5 |
| 1.524 | 60.78 | 8 |
| 1.391 | 67.31 | 36 |
| 1.205 | 79.57 | 12 |

Cell and atoms:
```
12
Lattice="6.815 0.000 0.000 0.000 6.815 0.000 0.000 0.000 6.815" Properties=species:S:1:pos:R:3 pbc="T T T"
Hf 0.000 0.000 0.000
Hf 0.000 3.407 3.407
Hf 3.407 0.000 3.407
Hf 3.407 3.407 0.000
Tl 1.704 1.704 1.704
Tl 1.704 5.111 5.111
Tl 5.111 1.704 5.111
Tl 5.111 5.111 1.704
Hg 1.704 1.704 5.111
Hg 1.704 5.111 1.704
Hg 5.111 1.704 1.704
Hg 5.111 5.111 5.111
```